Record 1
This entry pairs a crystal structure of VCr4W2 with its simulated PXRD pattern. Radiation: Cu Kα, 1.54184 Å. Structure: a crystal structure in Alexandria, relaxed with GGA-PBE.
Kinematic intensities with the Lorentz-polarization factor, no thermal factor.

Structural model:
a b c (Å): 4.661 6.749 6.788
angles (deg): 68.45 75.62 74.93
Positions (direct):
V 0.000 0.000 0.000
V 0.340 0.424 0.391
Cr 0.157 0.817 0.379
Cr 0.206 0.365 0.770
Cr 0.349 0.657 0.010
Cr 0.359 0.998 0.652
Cr 0.500 0.003 0.997
Cr 0.639 0.019 0.335
Cr 0.648 0.351 0.984
Cr 0.776 0.639 0.211
W 0.086 0.270 0.186
W 0.620 0.614 0.596
W 0.820 0.200 0.605
W 0.928 0.739 0.793

Top 10 peaks for 2θ from 10° to 90°, by intensity:
2theta	I/Imax
38.56	100.0
41.20	98.3
41.31	96.5
38.90	95.9
42.92	90.1
44.04	73.5
47.75	70.9
45.00	56.5
21.78	56.4
26.59	52.2

Record 2
This entry pairs a crystal structure of Sr3Dy with its simulated PXRD pattern. Radiation: Cu Kα, 1.54184 Å. Structure: a crystal structure in Alexandria, relaxed with GGA-PBE.
Kinematic intensities with the Lorentz-polarization factor, no thermal factor.

Structural model:
a b c (Å): 7.554 7.554 7.554
angles (deg): 146.60 62.00 129.39
Positions (direct):
Sr 0.000 0.000 0.000
Sr 0.266 0.503 0.763
Sr 0.740 0.503 0.237
Dy 0.500 0.000 0.500

Top 10 peaks for 2θ from 10° to 90°, by intensity:
2theta	I/Imax
28.35	100.0
27.59	53.0
49.26	41.2
39.42	19.9
50.66	19.6
58.65	12.3
81.49	9.6
41.61	8.9
15.33	8.7
64.84	8.7